The following is a theoretical X-ray diffraction stick pattern of TeS. It was derived from a cell relaxed with PBE, using Cu Kα (weighted mean of Kα1 and Kα2).
Lines closer than 0.1° are merged.

Cell and atoms:
```
TeS
1.0
4.4160 -1.7267 0.0000
4.4160 1.7267 0.0000
-0.0040 0.0000 4.2376
Te S
1 1
direct
0.0000 0.0000 0.0000
0.1429 0.1429 0.5003
```

Main lines, low angle first (2θ = 10–90°):
Position (°2θ), I (rel.)
20.11, 74.3
20.96, 35.7
27.74, 100.0
29.21, 73.7
35.03, 55.9
45.81, 53.9


The following is a theoretical X-ray diffraction stick pattern of TeS. It was derived from a cell relaxed with PBE, using Cu Kα (weighted mean of Kα1 and Kα2).
Lines closer than 0.1° are merged.

Cell and atoms:
```
TeS
1.0
6.8773 0.0000 0.0000
0.0000 8.7318 0.0000
0.0000 0.0000 10.1427
Te S
8 8
direct
0.2172 0.0372 0.3956
0.2431 0.3605 0.6902
0.2569 0.6395 0.1902
0.2828 0.9628 0.8956
0.7172 0.4628 0.6044
0.7431 0.1395 0.3098
0.7569 0.8605 0.8098
0.7828 0.5372 0.1044
0.0600 0.5283 0.5495
0.1271 0.1102 0.6198
0.3729 0.8898 0.1198
0.4400 0.4717 0.0495
0.5600 0.9717 0.4505
0.6271 0.3898 0.3802
0.8729 0.6102 0.8802
0.9400 0.0283 0.9505
```

Main lines, low angle first (2θ = 10–90°):
Position (°2θ), I (rel.)
13.38, 34.7
18.61, 46.9
20.27, 100.0
25.91, 35.3
33.11, 37.8
34.35, 37.0


The following is a theoretical X-ray diffraction stick pattern of Th2Te2S. It was derived from a cell relaxed with PBE, using Cu Kα (weighted mean of Kα1 and Kα2).
Lines closer than 0.1° are merged.

Cell and atoms:
```
Th2Te2S
1.0
2.1423 -8.7936 0.0000
2.1423 8.7936 0.0000
0.0000 0.0000 8.1788
Th Te S
4 4 2
direct
0.0524 0.9476 0.5000
0.3129 0.6871 0.4187
0.6871 0.3129 0.9187
0.9476 0.0524 0.0000
0.3082 0.6918 0.0312
0.4422 0.5578 0.6909
0.5578 0.4422 0.1909
0.6918 0.3082 0.5312
0.0920 0.9080 0.8381
0.9080 0.0920 0.3381
```

Main lines, low angle first (2θ = 10–90°):
Position (°2θ), I (rel.)
21.73, 56.8
22.96, 80.7
23.99, 53.1
25.75, 83.8
28.01, 67.6
33.94, 100.0


The following is a theoretical X-ray diffraction stick pattern of Ti3Te4S2. It was derived from a cell relaxed with PBE, using Cu Kα (weighted mean of Kα1 and Kα2).
Lines closer than 0.1° are merged.

Cell and atoms:
```
Ti3Te4S2
1.0
3.5719 0.0000 0.0000
-1.7859 3.0934 0.0000
0.0000 0.0000 21.6288
Ti Te S
3 4 2
direct
0.0000 0.0000 0.0000
0.0000 0.0000 0.3410
0.6667 0.3333 0.6881
0.0000 0.0000 0.6019
0.0000 0.0000 0.7735
0.6667 0.3333 0.2554
0.6667 0.3333 0.4268
0.6667 0.3333 0.0668
0.6667 0.3333 0.9322
```

Main lines, low angle first (2θ = 10–90°):
Position (°2θ), I (rel.)
28.86, 68.5
29.16, 71.0
33.37, 61.9
35.68, 100.0
41.30, 55.1
51.15, 52.2


The following is a theoretical X-ray diffraction stick pattern of Ti3Te4S2. It was derived from a cell relaxed with PBE, using Cu Kα (weighted mean of Kα1 and Kα2).
Lines closer than 0.1° are merged.

Cell and atoms:
```
Ti3Te4S2
1.0
3.5640 0.0000 0.0000
-1.7820 3.0865 0.0000
0.0000 0.0000 23.9604
Ti Te S
3 4 2
direct
0.0000 0.0000 0.0000
0.3333 0.6667 0.2808
0.3333 0.6667 0.7192
0.0000 0.0000 0.2036
0.0000 0.0000 0.3590
0.0000 0.0000 0.6410
0.0000 0.0000 0.7964
0.3333 0.6667 0.0608
0.3333 0.6667 0.9392
```

Main lines, low angle first (2θ = 10–90°):
Position (°2θ), I (rel.)
11.08, 37.4
28.93, 100.0
34.57, 95.1
36.80, 35.5
39.31, 71.9
51.28, 54.6


The following is a theoretical X-ray diffraction stick pattern of Tl8Te3S8. It was derived from a cell relaxed with PBE, using Cu Kα (weighted mean of Kα1 and Kα2).
Lines closer than 0.1° are merged.

Cell and atoms:
```
Tl8Te3S8
1.0
6.7974 0.0000 0.0000
0.1179 8.5170 0.0000
2.6250 0.9842 10.4668
Tl Te S
8 3 8
direct
0.0302 0.4915 0.3223
0.2103 0.0153 0.1972
0.2912 0.6713 0.9464
0.4386 0.2259 0.4957
0.5614 0.7741 0.5043
0.7088 0.3287 0.0536
0.7897 0.9847 0.8028
0.9698 0.5085 0.6777
0.0000 0.0000 0.5000
0.2720 0.1965 0.8825
0.7280 0.8035 0.1175
0.1220 0.7024 0.4670
0.2464 0.3652 0.1377
0.3222 0.4342 0.7346
0.3874 0.9939 0.7390
0.6126 0.0061 0.2610
0.6778 0.5658 0.2654
0.7536 0.6348 0.8623
0.8780 0.2976 0.5330
```

Main lines, low angle first (2θ = 10–90°):
Position (°2θ), I (rel.)
24.73, 65.6
24.86, 72.4
25.83, 68.6
26.30, 100.0
26.71, 42.2
28.30, 61.7


The following is a theoretical X-ray diffraction stick pattern of Tl5TeS. It was derived from a cell relaxed with PBE, using Cu Kα (weighted mean of Kα1 and Kα2).
Lines closer than 0.1° are merged.

Cell and atoms:
```
Tl5TeS
1.0
3.1278 -10.5141 0.0000
3.1278 10.5141 0.0000
-0.2877 0.0000 7.0807
Tl Te S
10 2 2
direct
0.1242 0.8758 0.7500
0.2309 0.2997 0.8801
0.2918 0.6869 0.5189
0.2997 0.2309 0.3801
0.3131 0.7082 0.9811
0.6869 0.2918 0.0189
0.7003 0.7691 0.6199
0.7082 0.3131 0.4811
0.7691 0.7003 0.1199
0.8758 0.1242 0.2500
0.1679 0.8321 0.2500
0.8321 0.1679 0.7500
0.4049 0.5951 0.2500
0.5951 0.4049 0.7500
```

Main lines, low angle first (2θ = 10–90°):
Position (°2θ), I (rel.)
25.53, 46.8
28.42, 47.3
28.79, 87.7
29.83, 78.8
32.20, 100.0
35.30, 41.3


The following is a theoretical X-ray diffraction stick pattern of Tl3Te2S6. It was derived from a cell relaxed with PBE, using Cu Kα (weighted mean of Kα1 and Kα2).
Lines closer than 0.1° are merged.

Cell and atoms:
```
Tl3Te2S6
1.0
7.5837 0.0000 0.0000
0.0000 8.7847 0.0000
0.0000 0.0000 11.3373
Tl Te S
6 4 12
direct
0.0000 0.0000 0.0000
0.0000 0.5000 0.2879
0.0000 0.5000 0.7121
0.5000 0.0000 0.2121
0.5000 0.0000 0.7879
0.5000 0.5000 0.5000
0.1477 0.1678 0.5000
0.3523 0.6678 0.0000
0.6477 0.3322 0.0000
0.8523 0.8322 0.5000
0.1298 0.7083 0.5000
0.2065 0.7690 0.1691
0.2065 0.7690 0.8309
0.2935 0.2690 0.3309
0.2935 0.2690 0.6691
0.3702 0.2083 0.0000
0.6298 0.7917 0.0000
0.7065 0.7310 0.3309
0.7065 0.7310 0.6691
0.7935 0.2310 0.1691
0.7935 0.2310 0.8309
0.8702 0.2917 0.5000
```

Main lines, low angle first (2θ = 10–90°):
Position (°2θ), I (rel.)
12.75, 17.6
22.04, 100.0
31.16, 31.8
31.56, 25.0
33.44, 35.2
36.49, 19.0


The following is a theoretical X-ray diffraction stick pattern of Tm3TeS3. It was derived from a cell relaxed with PBE, using Cu Kα (weighted mean of Kα1 and Kα2).
Lines closer than 0.1° are merged.

Cell and atoms:
```
Tm3TeS3
1.0
3.8907 2.2463 7.0724
-3.8907 2.2463 7.0724
0.0000 -4.4926 7.0724
Tm Te S
6 2 6
direct
0.1114 0.7091 0.4783
0.2910 0.5217 0.8886
0.4783 0.1114 0.7091
0.5217 0.8886 0.2910
0.7091 0.4783 0.1114
0.8886 0.2909 0.5217
0.3292 0.3292 0.3292
0.6708 0.6708 0.6708
0.1104 0.3808 0.8393
0.1607 0.8896 0.6192
0.3808 0.8393 0.1104
0.6192 0.1607 0.8896
0.8393 0.1104 0.3808
0.8896 0.6192 0.1607
```

Main lines, low angle first (2θ = 10–90°):
Position (°2θ), I (rel.)
13.79, 23.0
26.14, 100.0
34.27, 49.4
36.27, 23.2
40.14, 33.6
56.59, 17.9


The following is a theoretical X-ray diffraction stick pattern of U3Te4S2. It was derived from a cell relaxed with PBE, using Cu Kα (weighted mean of Kα1 and Kα2).
Lines closer than 0.1° are merged.

Cell and atoms:
```
U3Te4S2
1.0
3.9579 0.0000 0.0000
-1.9789 3.4276 0.0000
0.0000 0.0000 26.2426
U Te S
3 4 2
direct
0.0000 0.0000 0.0000
0.3333 0.6667 0.2756
0.3333 0.6667 0.7244
0.0000 0.0000 0.1996
0.0000 0.0000 0.3517
0.0000 0.0000 0.6483
0.0000 0.0000 0.8004
0.3333 0.6667 0.0590
0.3333 0.6667 0.9410
```

Main lines, low angle first (2θ = 10–90°):
Position (°2θ), I (rel.)
10.11, 100.0
26.00, 60.4
31.17, 95.6
33.21, 75.0
40.62, 59.1
45.85, 48.6


The following is a theoretical X-ray diffraction stick pattern of U3Te2S2. It was derived from a cell relaxed with PBE, using Cu Kα (weighted mean of Kα1 and Kα2).
Lines closer than 0.1° are merged.

Cell and atoms:
```
U3Te2S2
1.0
7.1979 -2.0480 0.0000
7.1979 2.0480 0.0000
-2.1036 0.0000 6.6240
U Te S
3 2 2
direct
0.0000 0.0000 0.0000
0.2542 0.2542 0.7471
0.7458 0.7458 0.2529
0.3974 0.3974 0.1981
0.6026 0.6026 0.8019
0.1434 0.1434 0.3559
0.8566 0.8566 0.6441
```

Main lines, low angle first (2θ = 10–90°):
Position (°2θ), I (rel.)
13.37, 20.8
29.66, 100.0
33.41, 26.4
40.59, 20.4
45.20, 22.9
45.35, 21.8


The following is a theoretical X-ray diffraction stick pattern of VTeS2. It was derived from a cell relaxed with PBE, using Cu Kα (weighted mean of Kα1 and Kα2).
Lines closer than 0.1° are merged.

Cell and atoms:
```
VTeS2
1.0
3.1533 0.0000 0.0000
0.0000 5.5259 0.0000
0.0135 1.4402 10.8381
V Te S
2 2 4
direct
0.0000 0.0000 0.0000
0.4998 0.5000 0.0000
0.4841 0.2388 0.5501
0.4849 0.7618 0.4494
0.0004 0.3682 0.8637
0.4993 0.1322 0.1361
0.5004 0.8677 0.8639
0.9994 0.6317 0.1362
```

Main lines, low angle first (2θ = 10–90°):
Position (°2θ), I (rel.)
16.36, 100.0
29.50, 32.6
34.83, 32.4
35.81, 40.5
42.78, 29.6
43.76, 23.9